Starting from a GGA-PBE-relaxed structure, the powder diffraction line list of SmEr4Tm8 was simulated for Cu Kα X-rays.
Kinematic intensities with the Lorentz-polarization factor, no thermal factor.

Structural model:
a b c (Å): 9.8187 9.8187 9.8187
angles (deg): 43.01 43.01 43.01
Sites, in units of the cell vectors:
Sm 0.0000 0.0000 0.0000
Er 0.0000 0.0000 0.5000
Er 0.0000 0.5000 0.0000
Er 0.5000 0.0000 0.0000
Er 0.5000 0.5000 0.5000
Tm 0.2504 0.2504 0.6937
Tm 0.2504 0.6937 0.2504
Tm 0.2820 0.2820 0.2820
Tm 0.3063 0.7496 0.7496
Tm 0.6937 0.2504 0.2504
Tm 0.7180 0.7180 0.7180
Tm 0.7496 0.3063 0.7496
Tm 0.7496 0.7496 0.3063

Peak list (10 most intense, 2θ = 10–90°, by intensity)
- 2θ 31.68, rel. 100
- 2θ 33.29, rel. 42
- 2θ 30.14, rel. 31
- 2θ 50.73, rel. 30
- 2θ 39.57, rel. 29
- 2θ 60.15, rel. 22
- 2θ 53.44, rel. 17
- 2θ 28.84, rel. 17
- 2θ 61.06, rel. 16
- 2θ 83.29, rel. 11